LiAlVO4: calculated XRD peak list (a wavelength of 1.5418 Å), based on DFT lattice parameters and positions (GGA+U).
No peak broadening, texture or thermal motion is included.

Crystal structure
Lattice parameters (Å, degrees): 5.8095 5.8095 8.1653 90.00 90.00 90.00
Atoms (fractional coordinates):
Li 0.0000 0.2266 0.0000
Li 0.0000 0.7734 0.5000
Li 0.2266 0.0000 0.2500
Li 0.7734 0.0000 0.7500
Al 0.2582 0.2582 0.6250
Al 0.2582 0.7418 0.8750
Al 0.7418 0.2582 0.3750
Al 0.7418 0.7418 0.1250
V 0.2253 0.5000 0.2500
V 0.5000 0.2253 0.0000
V 0.5000 0.7747 0.5000
V 0.7747 0.5000 0.7500
O 0.0035 0.2671 0.2610
O 0.0035 0.7329 0.2390
O 0.2663 0.4931 0.0100
O 0.2663 0.5069 0.4900
O 0.2671 0.0035 0.9890
O 0.2671 0.9965 0.5110
O 0.4931 0.2663 0.2400
O 0.4931 0.7337 0.2600
O 0.5069 0.2663 0.7600
O 0.5069 0.7337 0.7400
O 0.7329 0.0035 0.0110
O 0.7329 0.9965 0.4890
O 0.7337 0.4931 0.9900
O 0.7337 0.5069 0.5100
O 0.9965 0.2671 0.7390
O 0.9965 0.7329 0.7610

Main lines, in order of rising 2θ (2θ from 10° to 90°):
| index | 2θ/deg | I/Imax |
| --- | --- | --- |
| 1 0 0 | 15.3 | 61 |
| 1 1 1 | 24.3 | 82 |
| 1 0 2 | 26.7 | 52 |
| 1 1 2 | 30.8 | 40 |
| 2 1 1 | 36.3 | 100 |
| 1 0 3 | 36.5 | 54 |
| 2 2 0 | 44.1 | 51 |
| 0 0 4 | 44.4 | 26 |
| 3 1 1 | 51.0 | 19 |
| 3 2 1 | 58.4 | 24 |
| 4 0 0 | 64.1 | 33 |
| 2 2 4 | 64.3 | 68 |